The following is a theoretical powder XRD pattern of Ba6MgNb2IrCl2O12. It was derived from a GGA-PBE-relaxed structure, using copper Kα.

Principal peaks in the range 5° ≤ 2θ ≤ 70°, sorted by position:
5.8°, d 15.136, I = 100; 17.6°, d 5.047, I = 13; 21.3°, d 4.179, I = 8; 26.8°, d 3.329, I = 9; 28.6°, d 3.116, I = 18; 30.0°, d 2.979, I = 44; 30.5°, d 2.931, I = 12; 31.8°, d 2.814, I = 9; 40.7°, d 2.216, I = 7; 43.3°, d 2.090, I = 9

Cell and atoms:
```
data_Ba6MgNb2IrCl2O12
_chemical_formula_sum 'Ba6 Mg1 Nb2 Ir1 Cl2 O12'
_cell_length_a 5.9597
_cell_length_b 6.2624
_cell_length_c 15.2759
_cell_angle_alpha 96.72
_cell_angle_beta 90.25
_cell_angle_gamma 118.25
_symmetry_space_group_name_H-M 'P -1'
_symmetry_Int_Tables_number 2
loop_
_symmetry_equiv_pos_as_xyz
'x,y,z'
'-x,-y,-z'
loop_
_atom_site_label
_atom_site_fract_x
_atom_site_fract_y
_atom_site_fract_z
_atom_site_occupancy
Ba1 0.0839 0.1791 0.2225 1
Ba2 0.2319 0.4538 0.6385 1
Ba3 0.2505 0.4902 0.8957 1
Mg1 0.0000 0.0000 0.0000 1
Nb1 0.4039 0.8214 0.1805 1
Ir1 0.5000 0.0000 0.0000 1
Cl1 0.1722 0.3437 0.4269 1
O1 0.1188 0.7287 0.2514 1
O2 0.2040 0.9320 0.0855 1
O3 0.2512 0.4986 0.1010 1
O4 0.2806 0.0632 0.9189 1
O5 0.3821 0.2606 0.7511 1
O6 0.4100 0.8168 0.7717 1
```

---

The following is a theoretical powder XRD pattern of MgIO12. It was derived from a GGA-PBE-relaxed structure, using copper Kα.

Principal peaks in the range 5° ≤ 2θ ≤ 70°, sorted by position:
12.6°, d 7.039, I = 100; 16.9°, d 5.251, I = 63; 18.7°, d 4.743, I = 54; 20.9°, d 4.255, I = 33; 22.5°, d 3.950, I = 62; 25.3°, d 3.520, I = 52; 26.3°, d 3.395, I = 31; 27.0°, d 3.306, I = 28; 30.1°, d 2.970, I = 30; 35.8°, d 2.509, I = 37

Cell and atoms:
```
data_MgIO12
_chemical_formula_sum 'Mg2 I2 O24'
_cell_length_a 4.3709
_cell_length_b 10.5012
_cell_length_c 9.7455
_cell_angle_alpha 90.00
_cell_angle_beta 103.25
_cell_angle_gamma 90.00
_symmetry_space_group_name_H-M 'P 1 c 1'
_symmetry_Int_Tables_number 7
loop_
_symmetry_equiv_pos_as_xyz
'x,y,z'
'x,-y,z+1/2'
loop_
_atom_site_label
_atom_site_fract_x
_atom_site_fract_y
_atom_site_fract_z
_atom_site_occupancy
Mg1 0.0000 0.1873 0.0000 1
I1 0.0252 0.2237 0.5806 1
O1 0.1813 0.1329 0.4390 1
O2 0.2324 0.1302 0.7313 1
O3 0.2403 0.3693 0.5528 1
O4 0.3367 0.3282 0.9789 1
O5 0.4178 0.1237 0.1414 1
O6 0.6181 0.3193 0.9616 1
O7 0.6615 0.1461 0.4703 1
O8 0.6893 0.4017 0.2842 1
O9 0.6923 0.1079 0.1216 1
O10 0.8283 0.3435 0.6724 1
O11 0.8984 0.0530 0.8525 1
O12 0.9148 0.3821 0.2325 1
```

---

The following is a theoretical powder XRD pattern of K2TbPCO7. It was derived from a GGA-PBE-relaxed structure, using copper Kα.

Principal peaks in the range 5° ≤ 2θ ≤ 70°, sorted by position:
8.8°, d 10.022, I = 100; 15.2°, d 5.832, I = 53; 19.6°, d 4.532, I = 43; 23.0°, d 3.871, I = 26; 23.8°, d 3.742, I = 34; 24.8°, d 3.585, I = 20; 30.4°, d 2.940, I = 38; 30.6°, d 2.921, I = 36; 30.7°, d 2.909, I = 23; 31.3°, d 2.859, I = 16

Cell and atoms:
```
data_K2TbPCO7
_chemical_formula_sum 'K4 Tb2 P2 C2 O14'
_cell_length_a 5.8505
_cell_length_b 7.1708
_cell_length_c 10.0280
_cell_angle_alpha 90.00
_cell_angle_beta 91.97
_cell_angle_gamma 90.00
_symmetry_space_group_name_H-M 'P 1 21/m 1'
_symmetry_Int_Tables_number 11
loop_
_symmetry_equiv_pos_as_xyz
'x,y,z'
'-x,-y,-z'
'-x,y+1/2,-z'
'x,-y+1/2,z'
loop_
_atom_site_label
_atom_site_fract_x
_atom_site_fract_y
_atom_site_fract_z
_atom_site_occupancy
K1 0.2472 0.0108 0.2194 1
Tb1 0.2181 0.2500 0.6304 1
P1 0.2896 0.7500 0.5691 1
C1 0.2713 0.2500 0.9057 1
O1 0.0672 0.2500 0.8459 1
O2 0.1563 0.7500 0.4305 1
O3 0.2278 0.5710 0.6468 1
O4 0.3020 0.2500 0.0307 1
O5 0.4442 0.2500 0.8230 1
O6 0.4476 0.2500 0.4558 1
```

---

The following is a theoretical powder XRD pattern of NpFe4P12. It was derived from a GGA-PBE-relaxed structure, using copper Kα.

Principal peaks in the range 5° ≤ 2θ ≤ 70°, sorted by position:
16.1°, d 5.490, I = 98; 28.2°, d 3.169, I = 56; 32.6°, d 2.745, I = 88; 36.6°, d 2.455, I = 100; 43.6°, d 2.075, I = 91; 46.8°, d 1.941, I = 16; 49.8°, d 1.830, I = 15; 58.2°, d 1.585, I = 59; 60.8°, d 1.523, I = 51; 65.9°, d 1.417, I = 16

Cell and atoms:
```
data_NpFe4P12
_chemical_formula_sum 'Np2 Fe8 P24'
_cell_length_a 7.7635
_cell_length_b 7.7635
_cell_length_c 7.7635
_cell_angle_alpha 90.00
_cell_angle_beta 90.00
_cell_angle_gamma 90.00
_symmetry_space_group_name_H-M 'I m -3'
_symmetry_Int_Tables_number 204
_symmetry_space_group_name_Hall '-I 2 2 3'
loop_
_atom_site_label
_atom_site_fract_x
_atom_site_fract_y
_atom_site_fract_z
_atom_site_occupancy
Np1 0.0000 0.0000 0.0000 1
Fe1 0.2500 0.2500 0.2500 1
P1 0.0000 0.3492 0.1513 1
```

---

The following is a theoretical powder XRD pattern of LiGaCl3. It was derived from a GGA-PBE-relaxed structure, using copper Kα.

Principal peaks in the range 5° ≤ 2θ ≤ 70°, sorted by position:
14.6°, d 6.053, I = 47; 15.4°, d 5.768, I = 100; 17.9°, d 4.944, I = 49; 23.7°, d 3.754, I = 77; 24.9°, d 3.569, I = 53; 28.8°, d 3.097, I = 77; 29.5°, d 3.027, I = 37; 30.7°, d 2.913, I = 45; 32.3°, d 2.769, I = 40; 54.2°, d 1.692, I = 42

Cell and atoms:
```
data_LiGaCl3
_chemical_formula_sum 'Li8 Ga8 Cl24'
_cell_length_a 15.3104
_cell_length_b 9.8874
_cell_length_c 6.2266
_cell_angle_alpha 90.00
_cell_angle_beta 90.00
_cell_angle_gamma 90.00
_symmetry_space_group_name_H-M 'P n m a'
_symmetry_Int_Tables_number 62
loop_
_symmetry_equiv_pos_as_xyz
'x,y,z'
'-x,-y,-z'
'-x+1/2,-y,z+1/2'
'x+1/2,y,-z+1/2'
'x+1/2,-y+1/2,-z+1/2'
'-x+1/2,y+1/2,z+1/2'
'-x,y+1/2,-z'
'x,-y+1/2,z'
loop_
_atom_site_label
_atom_site_fract_x
_atom_site_fract_y
_atom_site_fract_z
_atom_site_occupancy
Li1 0.1316 0.0123 0.1177 1
Ga1 0.0061 0.2500 0.5515 1
Ga2 0.1420 0.7500 0.5845 1
Cl1 0.0313 0.0678 0.7673 1
Cl2 0.1116 0.2500 0.2949 1
Cl3 0.1568 0.7500 0.9444 1
Cl4 0.2204 0.5729 0.4515 1
```

---

The following is a theoretical powder XRD pattern of Gd3Mn2C6. It was derived from a GGA-PBE-relaxed structure, using copper Kα.

Principal peaks in the range 5° ≤ 2θ ≤ 70°, sorted by position:
28.2°, d 3.162, I = 100; 31.0°, d 2.882, I = 27; 33.9°, d 2.647, I = 44; 35.4°, d 2.536, I = 25; 38.4°, d 2.347, I = 17; 38.6°, d 2.335, I = 32; 42.1°, d 2.148, I = 14; 49.8°, d 1.831, I = 25; 59.2°, d 1.560, I = 13; 60.4°, d 1.532, I = 20

Cell and atoms:
```
data_Gd3Mn2C6
_chemical_formula_sum 'Gd6 Mn4 C12'
_cell_length_a 8.0870
_cell_length_b 8.0870
_cell_length_c 5.0723
_cell_angle_alpha 90.00
_cell_angle_beta 90.00
_cell_angle_gamma 120.00
_symmetry_space_group_name_H-M 'P 63/m'
_symmetry_Int_Tables_number 176
_symmetry_space_group_name_Hall '-P 6c'
loop_
_atom_site_label
_atom_site_fract_x
_atom_site_fract_y
_atom_site_fract_z
_atom_site_occupancy
Gd1 0.0682 0.3796 0.2500 1
Mn1 0.0000 0.0000 0.0000 1
Mn2 0.3333 0.6667 0.7500 1
C1 0.0404 0.2245 0.7500 1
C2 0.1371 0.4202 0.7500 1
```

---

The following is a theoretical powder XRD pattern of Y5Tl3. It was derived from a GGA-PBE-relaxed structure, using copper Kα.

Principal peaks in the range 5° ≤ 2θ ≤ 70°, sorted by position:
11.3°, d 7.812, I = 11; 23.7°, d 3.751, I = 20; 26.4°, d 3.377, I = 21; 33.1°, d 2.705, I = 100; 34.4°, d 2.604, I = 17; 35.1°, d 2.555, I = 15; 43.9°, d 2.063, I = 24; 51.0°, d 1.790, I = 19; 59.2°, d 1.562, I = 16; 65.9°, d 1.418, I = 20

Cell and atoms:
```
data_Y5Tl3
_chemical_formula_sum 'Y10 Tl6'
_cell_length_a 9.0210
_cell_length_b 9.0210
_cell_length_c 6.7543
_cell_angle_alpha 90.00
_cell_angle_beta 90.00
_cell_angle_gamma 120.00
_symmetry_space_group_name_H-M 'P 63/m c m'
_symmetry_Int_Tables_number 193
_symmetry_space_group_name_Hall '-P 6c 2'
loop_
_atom_site_label
_atom_site_fract_x
_atom_site_fract_y
_atom_site_fract_z
_atom_site_occupancy
Y1 0.0000 0.2355 0.2500 1
Y2 0.3333 0.6667 0.0000 1
Tl1 0.0000 0.4043 0.7500 1
```

---

The following is a theoretical powder XRD pattern of AlCuS2. It was derived from a GGA-PBE-relaxed structure, using copper Kα.

Principal peaks in the range 5° ≤ 2θ ≤ 70°, sorted by position:
18.7°, d 4.754, I = 16; 29.1°, d 3.064, I = 100; 30.5°, d 2.932, I = 6; 33.6°, d 2.663, I = 2; 38.8°, d 2.324, I = 7; 46.0°, d 1.971, I = 3; 48.3°, d 1.883, I = 21; 48.6°, d 1.873, I = 42; 57.4°, d 1.604, I = 26; 57.9°, d 1.592, I = 13

Cell and atoms:
```
data_AlCuS2
_chemical_formula_sum 'Al4 Cu4 S8'
_cell_length_a 5.3268
_cell_length_b 5.3268
_cell_length_c 10.5363
_cell_angle_alpha 90.00
_cell_angle_beta 90.00
_cell_angle_gamma 90.00
_symmetry_space_group_name_H-M 'I -4 2 d'
_symmetry_Int_Tables_number 122
_symmetry_space_group_name_Hall 'I -4 2bw'
loop_
_atom_site_label
_atom_site_fract_x
_atom_site_fract_y
_atom_site_fract_z
_atom_site_occupancy
Al1 0.0000 0.0000 0.0000 1
Cu1 0.0000 0.0000 0.5000 1
S1 0.2433 0.2500 0.1250 1
```

---

The following is a theoretical powder XRD pattern of MgSi2. It was derived from a GGA-PBE-relaxed structure, using copper Kα.

Principal peaks in the range 5° ≤ 2θ ≤ 70°, sorted by position:
35.8°, d 2.508, I = 23; 35.9°, d 2.500, I = 33; 36.4°, d 2.469, I = 48; 38.0°, d 2.367, I = 100; 38.2°, d 2.357, I = 53; 38.7°, d 2.329, I = 30; 38.7°, d 2.325, I = 57; 41.3°, d 2.188, I = 57; 42.9°, d 2.107, I = 52; 46.5°, d 1.953, I = 22

Cell and atoms:
```
data_MgSi2
_chemical_formula_sum 'Mg8 Si16'
_cell_length_a 6.0836
_cell_length_b 7.2334
_cell_length_c 9.7663
_cell_angle_alpha 78.40
_cell_angle_beta 81.98
_cell_angle_gamma 89.95
_symmetry_space_group_name_H-M 'P -1'
_symmetry_Int_Tables_number 2
loop_
_symmetry_equiv_pos_as_xyz
'x,y,z'
'-x,-y,-z'
loop_
_atom_site_label
_atom_site_fract_x
_atom_site_fract_y
_atom_site_fract_z
_atom_site_occupancy
Mg1 0.0289 0.3292 0.3741 1
Mg2 0.0795 0.7935 0.1372 1
Mg3 0.4140 0.1137 0.8638 1
Mg4 0.4687 0.7655 0.6241 1
Si1 0.1251 0.8288 0.8446 1
Si2 0.1684 0.0696 0.6121 1
Si3 0.2185 0.4888 0.9122 1
Si4 0.2332 0.9358 0.3864 1
Si5 0.2655 0.3929 0.6268 1
Si6 0.2713 0.1691 0.1433 1
Si7 0.3413 0.6121 0.3766 1
Si8 0.3809 0.4960 0.1398 1
```